Starting from a GGA-PBE-relaxed structure, the powder XRD pattern of BeIn2 was simulated for copper Kα.
Intensities are scaled so that the largest is 100.

Top 10 peaks for 2θ = 5–70°, by angle:
- d = 2.777 Å, intensity 100, (0 1 2)
- d = 2.752 Å, intensity 61, (1 1 0)
- d = 2.709 Å, intensity 65, (1 1 -1)
- d = 2.556 Å, intensity 42, (1 0 2)
- d = 2.395 Å, intensity 36, (1 0 -3)
- d = 1.974 Å, intensity 24, (2 0 -1)
- d = 1.946 Å, intensity 23, (0 2 0)
- d = 1.645 Å, intensity 25, (2 1 1)
- d = 1.548 Å, intensity 17, (1 2 2)
- d = 1.519 Å, intensity 17, (1 1 4)

Atomic structure:
Cell: 3.9573 3.8917 8.0567 Å, 90.00 100.37 90.00°
Space group P2_1 (No. 4)
Symmetry-distinct sites (fractional):
Be 0.0274 0.0000 0.0703 x2
In 0.2016 0.0052 0.4021 x2
In 0.4256 0.0031 0.8373 x2

Starting from a GGA-PBE-relaxed structure, the powder XRD pattern of As2C was simulated for copper Kα.
Intensities are scaled so that the largest is 100.

Top 10 peaks for 2θ = 5–70°, by angle:
- d = 5.941 Å, intensity 21, (0 0 1)
- d = 3.521 Å, intensity 16, (1 0 1)
- d = 2.971 Å, intensity 26, (0 0 2)
- d = 2.742 Å, intensity 100, (1 1 1)
- d = 2.185 Å, intensity 20, (2 0 0)
- d = 2.142 Å, intensity 11, (1 1 2)
- d = 1.955 Å, intensity 11, (2 1 0)
- d = 1.760 Å, intensity 22, (2 0 2)
- d = 1.667 Å, intensity 14, (1 1 3)
- d = 1.346 Å, intensity 11, (3 1 1)

Atomic structure:
Cell: 4.3707 4.3707 5.9414 Å, 90.00 90.00 90.00°
Space group P-42_1m (No. 113)
Symmetry-distinct sites (fractional):
As 0.2069 0.2931 0.2135 x4
C 0.0000 0.0000 0.0000 x2

Starting from a GGA-PBE-relaxed structure, the powder XRD pattern of CsK2HoP2O8 was simulated for copper Kα.
Intensities are scaled so that the largest is 100.

Top 10 peaks for 2θ = 5–70°, by angle:
- d = 4.938 Å, intensity 49, (1 0 0)
- d = 3.133 Å, intensity 100, (1 0 2)
- d = 2.851 Å, intensity 60, (1 1 0)
- d = 2.332 Å, intensity 12, (1 1 2)
- d = 2.109 Å, intensity 38, (2 0 2)
- d = 1.875 Å, intensity 11, (0 1 4)
- d = 1.867 Å, intensity 11, (2 1 0)
- d = 1.695 Å, intensity 30, (2 1 2)
- d = 1.652 Å, intensity 21, (1 1 4)
- d = 1.646 Å, intensity 11, (3 0 0)

Atomic structure:
Cell: 5.7023 5.7023 8.1079 Å, 90.00 90.00 120.00°
Space group P-3m1 (No. 164)
Symmetry-distinct sites (fractional):
Cs 0.0000 0.0000 0.0000 x1
K 0.3333 0.6667 0.7507 x2
Ho 0.0000 0.0000 0.5000 x1
P 0.3333 0.6667 0.2712 x2
O 0.1848 0.3695 0.3390 x6
O 0.3333 0.6667 0.0829 x2

Starting from a GGA-PBE-relaxed structure, the powder XRD pattern of Na2UF5 was simulated for copper Kα.
Intensities are scaled so that the largest is 100.

Top 10 peaks for 2θ = 5–70°, by angle:
- d = 5.536 Å, intensity 100, (1 0 1)
- d = 5.040 Å, intensity 47, (2 0 0)
- d = 4.880 Å, intensity 31, (0 1 1)
- d = 3.022 Å, intensity 52, (1 2 1)
- d = 2.997 Å, intensity 28, (3 0 1)
- d = 2.934 Å, intensity 36, (2 2 0)
- d = 2.884 Å, intensity 36, (1 1 2)
- d = 2.241 Å, intensity 37, (3 1 2)
- d = 2.065 Å, intensity 30, (4 2 0)
- d = 1.948 Å, intensity 29, (2 1 3)

Atomic structure:
Cell: 10.0803 7.2152 6.6246 Å, 90.00 90.00 90.00°
Space group Pnma (No. 62)
Symmetry-distinct sites (fractional):
Na 0.1746 0.0103 0.0139 x8
U 0.0026 0.7500 0.4176 x4
F 0.0057 0.7500 0.0607 x4
F 0.1037 0.0416 0.3527 x8
F 0.1849 0.7500 0.6288 x4
F 0.2180 0.2500 0.6985 x4

Starting from a GGA-PBE-relaxed structure, the powder XRD pattern of Li2InRe was simulated for copper Kα.
Intensities are scaled so that the largest is 100.

Top 10 peaks for 2θ = 5–70°, by angle:
- d = 4.498 Å, intensity 100, (0 1 0)
- d = 2.749 Å, intensity 29, (0 0 2)
- d = 2.679 Å, intensity 27, (1 0 0)
- d = 2.346 Å, intensity 43, (0 1 2)
- d = 2.302 Å, intensity 40, (1 1 0)
- d = 2.249 Å, intensity 19, (0 2 0)
- d = 1.919 Å, intensity 23, (1 0 2)
- d = 1.765 Å, intensity 32, (1 1 2)
- d = 1.741 Å, intensity 15, (0 2 2)
- d = 1.460 Å, intensity 19, (1 2 2)

Atomic structure:
Cell: 2.6790 4.4981 5.4986 Å, 90.00 90.00 90.00°
Space group Pmmm (No. 47)
Symmetry-distinct sites (fractional):
Li 0.0000 0.0000 0.2182 x2
In 0.5000 0.5000 0.5000 x1
Re 0.5000 0.5000 0.0000 x1

Starting from a GGA-PBE-relaxed structure, the powder XRD pattern of Li5Ag12Ge2 was simulated for copper Kα.
Intensities are scaled so that the largest is 100.

Top 10 peaks for 2θ = 5–70°, by angle:
- d = 4.693 Å, intensity 48, (1 1 1)
- d = 3.304 Å, intensity 86, (4 0 0)
- d = 2.366 Å, intensity 76, (1 3 -1)
- d = 2.355 Å, intensity 49, (4 2 -1)
- d = 2.345 Å, intensity 100, (2 2 2)
- d = 2.333 Å, intensity 37, (5 1 1)
- d = 2.113 Å, intensity 33, (3 3 -1)
- d = 2.096 Å, intensity 29, (2 0 -3)
- d = 1.994 Å, intensity 22, (4 2 2)
- d = 1.915 Å, intensity 26, (6 2 0)

Atomic structure:
Cell: 13.2181 7.7426 6.6118 Å, 90.00 90.54 90.00°
Space group C2/m (No. 12)
Symmetry-distinct sites (fractional):
Li 0.0000 0.0000 0.0000 x2
Li 0.1926 0.5000 0.5106 x4
Li 0.2401 0.0000 0.9279 x4
Ag 0.0565 0.5000 0.1836 x4
Ag 0.0998 0.0000 0.6083 x4
Ag 0.1291 0.3000 0.8426 x8
Ag 0.1603 0.1856 0.2542 x8
Ge 0.0000 0.2974 0.5000 x4